For AcPr2SmEr4, DFT lattice parameters and positions (GGA-PBE) gives the computed powder X-ray diffraction pattern in this record (Cu Kα (weighted mean of Kα1 and Kα2)).
Neutral-atom scattering factors, no anomalous dispersion.

Structure:
Cell lengths 13.856, 13.459, 6.914 Å; angles 90.00, 119.93, 90.00 degrees
Space group C2/c (No. 15)
Asymmetric unit:
1 Ac 0.250 0.250 0.000 x4
2 Pr 0.000 0.000 0.000 x4
3 Pr 0.250 0.250 0.500 x4
4 Sm 0.000 0.500 0.000 x4
5 Er 0.000 0.253 0.012 x8
6 Er 0.247 0.492 0.496 x8

Largest 10 diffraction maxima, by angle, 2θ = 5–70°:
26.49 deg, I 45, (0 4 0)
29.80 deg, I 100, (4 0 0)
40.26 deg, I 30, (4 4 0)
40.31 deg, I 59, (0 4 2)
52.86 deg, I 14, (4 0 2)
60.08 deg, I 18, (4 4 2)
60.18 deg, I 9, (4 4 -4)
61.94 deg, I 8, (0 0 4)
63.40 deg, I 23, (4 8 0)
68.57 deg, I 12, (0 4 4)